Record 1
La3GdZn12Ge6: computed PXRD pattern (Cu Ka), based on DFT lattice parameters and positions (PBE).
Kinematic intensities with the Lorentz-polarization factor, no thermal factor.

Crystal structure
```
22
Lattice="7.698 0.000 0.000 0.000 4.123 0.000 0.000 0.000 13.332" Properties=species:S:1:pos:R:3 pbc="T T T"
La 0.000 0.000 0.000
La 7.694 0.000 4.459
La 3.853 0.000 11.093
Gd 3.852 0.000 6.663
Zn 1.113 2.061 6.962
Zn 1.120 2.061 10.796
Zn 1.457 0.000 8.853
Zn 1.635 2.061 2.236
Zn 3.127 0.000 0.971
Zn 3.141 0.000 3.504
Zn 4.954 2.061 4.160
Zn 4.960 2.061 0.296
Zn 5.302 0.000 2.219
Zn 5.466 2.061 8.872
Zn 6.935 0.000 7.636
Zn 6.984 0.000 10.140
Ge 2.390 2.061 13.020
Ge 2.404 2.061 4.794
Ge 2.943 2.061 8.845
Ge 6.194 2.061 6.355
Ge 6.239 2.061 11.413
Ge 6.775 2.061 2.228
```

Most intense lines, 2θ from 5° to 70°, in order of rising 2θ:
Position (°2θ)  intensity
31.81  100
34.60  14
35.63  22
40.60  33
42.03  53
43.92  25
49.28  13
52.47  14
61.34  19
68.38  21

***

Record 2
La2GdMg3Ag3: computed PXRD pattern (Cu Ka), based on DFT lattice parameters and positions (PBE).
Kinematic intensities with the Lorentz-polarization factor, no thermal factor.

Crystal structure
```
18
Lattice="7.819 0.000 0.000 0.000 4.319 0.000 -0.027 0.000 13.525" Properties=species:S:1:pos:R:3 pbc="T T T"
La 0.000 0.000 0.000
La -0.003 0.000 5.610
La 0.981 0.000 9.531
La 3.922 0.000 12.380
Gd 3.944 0.000 6.737
Gd 4.885 0.000 2.837
Mg 2.609 2.159 1.232
Mg 2.618 2.159 4.427
Mg 3.680 2.159 9.511
Mg 6.439 2.159 7.909
Mg 6.461 2.159 11.166
Mg 7.559 2.159 2.822
Ag 1.632 2.159 11.820
Ag 1.679 0.000 2.811
Ag 1.713 2.159 7.269
Ag 5.476 2.159 5.041
Ag 5.529 2.159 0.640
Ag 5.523 0.000 9.513
```

Most intense lines, 2θ from 5° to 70°, in order of rising 2θ:
Position (°2θ)  intensity
22.76  32
26.34  22
30.86  76
33.65  100
35.09  22
39.97  27
41.01  25
41.83  23
53.19  15
59.24  16

***

Record 3
Li2HgI4: computed PXRD pattern (Cu Ka), based on DFT lattice parameters and positions (PBE).
Kinematic intensities with the Lorentz-polarization factor, no thermal factor.

Crystal structure
```
7
Lattice="-3.186 3.186 6.433 3.186 -3.186 6.433 3.186 3.186 -6.433" Properties=species:S:1:pos:R:3 pbc="T T T"
Li 0.000 0.000 0.000
Li 0.000 3.186 3.217
Hg 0.000 0.000 6.433
I 1.510 1.600 -1.692
I 4.771 1.510 1.692
I 1.675 1.585 4.741
I -1.585 1.675 8.125
```

Most intense lines, 2θ from 5° to 70°, in order of rising 2θ:
Position (°2θ)  intensity
15.52  30
19.71  11
24.12  100
25.03  13
32.18  15
39.83  45
40.03  22
46.92  16
47.27  31
63.34  12

***

Record 4
Nd3Pb7: computed PXRD pattern (Cu Ka), based on DFT lattice parameters and positions (PBE).
Kinematic intensities with the Lorentz-polarization factor, no thermal factor.

Crystal structure
```
10
Lattice="2.382 -13.127 0.000 2.382 13.127 0.000 0.000 0.000 4.798" Properties=species:S:1:pos:R:3 pbc="T T T"
Nd 0.000 0.000 0.000
Nd 2.382 8.208 0.000
Nd 2.382 -8.208 0.000
Pb 2.382 10.592 2.399
Pb 2.382 5.439 2.399
Pb 2.382 2.518 0.000
Pb 2.382 0.000 2.399
Pb 2.382 -2.518 0.000
Pb 2.382 -5.439 2.399
Pb 2.382 -10.592 2.399
```

Most intense lines, 2θ from 5° to 70°, in order of rising 2θ:
Position (°2θ)  intensity
31.47  100
34.15  18
37.49  16
37.77  16
51.61  11
51.83  11
54.27  12
59.47  13
63.91  14
64.29  13

***

Record 5
KAg3GeO4: computed PXRD pattern (Cu Ka), based on DFT lattice parameters and positions (PBE).
Kinematic intensities with the Lorentz-polarization factor, no thermal factor.

Crystal structure
```
9
Lattice="5.716 0.000 0.000 0.000 5.716 0.000 0.000 0.000 5.716" Properties=species:S:1:pos:R:3 pbc="T T T"
K 0.000 0.000 0.000
Ag 0.000 2.858 2.858
Ag 2.858 0.000 2.858
Ag 2.858 2.858 0.000
Ge 2.858 2.858 2.858
O 1.816 1.816 1.816
O 1.816 3.900 3.900
O 3.900 1.816 3.900
O 3.900 3.900 1.816
```

Most intense lines, 2θ from 5° to 70°, in order of rising 2θ:
Position (°2θ)  intensity
15.50  94
27.02  100
31.30  92
35.11  27
44.85  91
47.74  19
53.15  45
55.71  26
58.20  12
65.30  12

***

Record 6
SmYAu4: computed PXRD pattern (Cu Ka), based on DFT lattice parameters and positions (PBE).
Kinematic intensities with the Lorentz-polarization factor, no thermal factor.

Crystal structure
```
6
Lattice="3.763 0.000 0.000 0.000 3.763 0.000 0.000 0.000 9.109" Properties=species:S:1:pos:R:3 pbc="T T T"
Sm 0.000 0.000 0.000
Y 1.881 1.881 4.554
Au 0.000 0.000 3.068
Au 0.000 0.000 6.041
Au 1.881 1.881 1.538
Au 1.881 1.881 7.571
```

Most intense lines, 2θ from 5° to 70°, in order of rising 2θ:
Position (°2θ)  intensity
9.71  1
19.49  3
25.62  6
33.69  70
38.08  100
39.21  2
48.38  25
55.54  2
61.03  6
63.17  46